(1)
For Cs3Ca2PaSe6, a cell relaxed with PBE gives the theoretical X-ray powder pattern in this record (Cu Ka).

Structural model:
Lattice parameters (Å, degrees): 7.542 13.054 8.695 90.00 106.71 90.00
Space group C2/m (No. 12)
One atom of each set of equivalent atoms:
Cs  0.000  0.000  0.000 [2 per cell]
Cs  0.000  0.327  0.000 [4 per cell]
Ca  0.000  0.166  0.500 [4 per cell]
Pa  0.000  0.500  0.500 [2 per cell]
Se  0.218  0.344  0.685 [8 per cell]
Se  0.249  0.500  0.312 [4 per cell]

The 10 most intense peaks (2θ = 10–90°), by angle:
Position (°2θ)  d (Å)  I (rel.)
14.01  6.320  11
15.32  5.784  10
27.64  3.227  100
29.69  3.009  9
37.39  2.405  32
41.49  2.176  35
43.46  2.082  12
50.58  1.805  19
57.09  1.613  16
67.43  1.389  16



(2)
For Sr2NdBeO5, a cell relaxed with PBE gives the theoretical X-ray powder pattern in this record (Cu Ka).

Structural model:
Lattice parameters (Å, degrees): 9.658 7.464 6.633 90.00 90.00 90.00
Space group Pnma (No. 62)
One atom of each set of equivalent atoms:
Sr  0.173  0.025  0.087 [8 per cell]
Nd  0.029  0.250  0.595 [4 per cell]
Be  0.101  0.750  0.811 [4 per cell]
O  0.013  0.750  0.031 [4 per cell]
O  0.063  0.565  0.688 [8 per cell]
O  0.223  0.750  0.325 [4 per cell]
O  0.231  0.250  0.374 [4 per cell]

The 10 most intense peaks (2θ = 10–90°), by angle:
Position (°2θ)  d (Å)  I (rel.)
25.75  3.459  19
28.46  3.137  27
28.97  3.082  68
30.27  2.953  48
30.89  2.894  100
33.20  2.698  20
37.46  2.401  28
39.75  2.267  29
46.81  1.941  22
51.65  1.770  19